Diffraction record for KLiH6Rh. The powder XRD pattern is calculated, not measured: it uses a GGA-PBE-relaxed structure and Cu Kα (weighted mean of Kα1 and Kα2).
Lines closer than 0.1° are merged.

Top 6 peaks for 2θ from 10° to 80°, sorted by position:
d_spacing, intensity
5.722, 52.1
4.629, 100.0
3.542, 31.5
3.074, 88.2
2.953, 72.2
2.861, 36.2

Atomic structure:
abc: 5.040 5.040 5.762
angles: 96.21 96.21 44.70
Fractional positions:
K  0.000  0.000  0.000
Li  0.277  0.277  0.457
H  0.062  0.062  0.495
H  0.446  0.446  0.289
H  0.446  0.446  0.690
H  0.568  0.832  0.724
H  0.698  0.698  0.316
H  0.832  0.568  0.724
Rh  0.576  0.576  0.511